No. 1
Structure and computed XRD peak list of Pr4GeTe2Se (a DFT-relaxed cell (PBE, Alexandria); Cu Ka).

Structural model:
Lattice parameters (Å, degrees): 7.5843 4.3923 7.8082 90.00 109.05 90.00
Positions (direct):
Pr 0.2362 0.0000 0.2238
Pr 0.2521 0.5000 0.7767
Pr 0.7479 0.5000 0.2233
Pr 0.7638 0.0000 0.7762
Ge 0.0000 0.5000 0.0000
Te 0.0000 0.0000 0.5000
Te 0.5000 0.5000 0.5000
Se 0.5000 0.0000 0.0000

Principal peaks in the range 10° ≤ 2θ ≤ 90°, sorted by position:
Position (°2θ)  I_rel
28.50  1000
40.28  239
40.40  119
41.17  379
50.77  133
50.95  66
58.99  116
66.14  94
67.44  111
74.37  77

---

No. 2
Structure and computed XRD peak list of EuMgBiSbO6 (a DFT-relaxed cell (PBE, Alexandria); Cu Ka).

Structural model:
Lattice parameters (Å, degrees): 5.6595 5.6595 5.6595 60.00 60.00 60.00
Positions (direct):
Eu 0.0000 0.0000 0.0000
Mg 0.2500 0.2500 0.2500
Bi 0.5000 0.5000 0.5000
Sb 0.7500 0.7500 0.7500
O 0.5030 0.5030 0.9970
O 0.5030 0.9970 0.5030
O 0.5030 0.9970 0.9970
O 0.9970 0.5030 0.5030
O 0.9970 0.5030 0.9970
O 0.9970 0.9970 0.5030

Principal peaks in the range 10° ≤ 2θ ≤ 90°, sorted by position:
Position (°2θ)  I_rel
19.21  124
22.21  158
31.62  1000
37.26  69
38.98  165
45.32  298
51.03  83
56.31  403
66.03  184
75.06  178

---

No. 3
Structure and computed XRD peak list of Pm2Tm2In (a DFT-relaxed cell (PBE, Alexandria); Cu Ka).

Structural model:
Lattice parameters (Å, degrees): 5.4289 5.4289 12.1444 90.00 90.00 120.00
Positions (direct):
Pm 0.3333 0.6667 0.0891
Pm 0.3333 0.6667 0.4109
Pm 0.6667 0.3333 0.5891
Pm 0.6667 0.3333 0.9109
Tm 0.0000 0.0000 0.0000
Tm 0.0000 0.0000 0.5000
Tm 0.3333 0.6667 0.7500
Tm 0.6667 0.3333 0.2500
In 0.0000 0.0000 0.2500
In 0.0000 0.0000 0.7500

Principal peaks in the range 10° ≤ 2θ ≤ 90°, sorted by position:
Position (°2θ)  I_rel
29.11  790
33.00  1000
35.19  258
44.57  248
44.78  154
49.00  194
56.56  247
56.73  123
58.93  190
60.35  157

---

No. 4
Structure and computed XRD peak list of Te3MoWS (a DFT-relaxed cell (PBE, Alexandria); Cu Ka).

Structural model:
Lattice parameters (Å, degrees): 3.4510 3.4510 37.8194 90.00 90.00 120.00
Positions (direct):
Te 0.0000 0.0000 0.0000
Te 0.0000 0.0000 0.0979
Te 0.0000 0.0000 0.4021
Te 0.0000 0.0000 0.5005
Te 0.3333 0.6667 0.2009
Te 0.3333 0.6667 0.2988
Mo 0.0000 0.0000 0.2499
Mo 0.3333 0.6667 0.0490
W 0.0000 0.0000 0.8563
W 0.3333 0.6667 0.4513
S 0.3333 0.6667 0.8168
S 0.3333 0.6667 0.8957

Principal peaks in the range 10° ≤ 2θ ≤ 90°, sorted by position:
Position (°2θ)  I_rel
11.70  1000
29.92  590
34.29  516
35.54  808
41.65  452
43.41  403
53.08  392
65.52  163
74.43  210
89.11  163

---

No. 5
Structure and computed XRD peak list of Pm7DyY12 (a DFT-relaxed cell (PBE, Alexandria); Cu Ka).

Structural model:
Lattice parameters (Å, degrees): 8.8333 8.8333 8.8333 85.93 85.93 85.93
Positions (direct):
Pm 0.0000 0.0000 0.0000
Pm 0.1024 0.3465 0.4226
Pm 0.3465 0.4226 0.1024
Pm 0.4226 0.1024 0.3465
Pm 0.5774 0.8975 0.6535
Pm 0.6535 0.5774 0.8975
Pm 0.8976 0.6535 0.5774
Dy 0.5000 0.5000 0.5000
Y 0.0027 0.3638 0.8844
Y 0.1156 0.9973 0.6362
Y 0.2285 0.7529 0.3551
Y 0.2471 0.6449 0.7715
Y 0.3551 0.2285 0.7529
Y 0.3638 0.8844 0.0027
Y 0.6362 0.1156 0.9973
Y 0.6449 0.7715 0.2471
Y 0.7529 0.3551 0.2285
Y 0.7715 0.2471 0.6449
Y 0.8844 0.0027 0.3638
Y 0.9973 0.6362 0.1156

Principal peaks in the range 10° ≤ 2θ ≤ 90°, sorted by position:
Position (°2θ)  I_rel
27.73  242
28.61  358
30.50  515
31.41  1000
31.53  454
32.85  840
36.18  198
50.28  260
54.98  290
58.33  192

---

No. 6
Structure and computed XRD peak list of SmDy14Mg (a DFT-relaxed cell (PBE, Alexandria); Cu Ka).

Structural model:
Lattice parameters (Å, degrees): 9.9954 7.0496 7.0496 90.00 90.00 90.00
Positions (direct):
Sm 0.0000 0.0000 0.0000
Dy 0.0000 0.0000 0.5001
Dy 0.0000 0.5001 0.0000
Dy 0.2499 0.2492 0.2492
Dy 0.2500 0.2493 0.7508
Dy 0.2500 0.7508 0.2493
Dy 0.2501 0.7509 0.7509
Dy 0.5000 0.0001 0.0001
Dy 0.5000 0.0001 0.5000
Dy 0.5000 0.5000 0.0001
Dy 0.5000 0.5000 0.5000
Dy 0.7501 0.2492 0.2492
Dy 0.7500 0.2493 0.7508
Dy 0.7500 0.7508 0.2493
Dy 0.7499 0.7509 0.7509
Mg 0.0000 0.5007 0.5007

Principal peaks in the range 10° ≤ 2θ ≤ 90°, sorted by position:
Position (°2θ)  I_rel
31.05  1000
36.00  506
51.83  359
61.57  143
61.70  283
64.73  123
84.64  119
84.76  59
87.29  56
87.49  111